No. 1
This entry pairs a crystal structure of Ba2Sn3Pd2 with its simulated X-ray powder pattern. Radiation: Cu Kα X-rays. Structure: a crystal structure in Alexandria, relaxed with PBE.
Kinematic intensities with the Lorentz-polarization factor, no thermal factor.

Atomic structure:
a b c (Å): 10.699 10.699 7.812
angles (deg): 90.00 90.00 153.55
Sites, in units of the cell vectors:
Ba 0.060 0.940 0.750
Ba 0.162 0.838 0.250
Ba 0.838 0.162 0.750
Ba 0.940 0.060 0.250
Sn 0.226 0.774 0.750
Sn 0.435 0.565 0.566
Sn 0.435 0.565 0.934
Sn 0.565 0.435 0.066
Sn 0.565 0.435 0.434
Sn 0.774 0.226 0.250
Pd 0.303 0.697 0.056
Pd 0.303 0.697 0.444
Pd 0.697 0.303 0.556
Pd 0.697 0.303 0.944

Largest 10 diffraction maxima, in order of falling intensity, 2θ = 10–90°:
two_theta  I_rel
29.57  100
30.41  100
36.71  59
38.66  48
42.42  38
54.37  36
34.45  31
41.37  25
32.02  21
51.22  20

---

No. 2
This entry pairs a crystal structure of Ba3Sn2Pd2 with its simulated X-ray powder pattern. Radiation: Cu Kα X-rays. Structure: a crystal structure in Alexandria, relaxed with PBE.
Kinematic intensities with the Lorentz-polarization factor, no thermal factor.

Atomic structure:
a b c (Å): 6.509 9.254 14.724
angles (deg): 90.00 90.00 90.00
Sites, in units of the cell vectors:
Ba 0.145 0.106 0.097
Ba 0.145 0.106 0.403
Ba 0.145 0.394 0.597
Ba 0.145 0.394 0.903
Ba 0.335 0.742 0.750
Ba 0.335 0.758 0.250
Ba 0.665 0.242 0.750
Ba 0.665 0.258 0.250
Ba 0.855 0.606 0.097
Ba 0.855 0.606 0.403
Ba 0.855 0.894 0.597
Ba 0.855 0.894 0.903
Sn 0.181 0.096 0.750
Sn 0.181 0.404 0.250
Sn 0.375 0.750 0.000
Sn 0.375 0.750 0.500
Sn 0.625 0.250 0.000
Sn 0.625 0.250 0.500
Sn 0.819 0.596 0.750
Sn 0.819 0.904 0.250
Pd 0.390 0.031 0.587
Pd 0.390 0.031 0.913
Pd 0.390 0.469 0.087
Pd 0.390 0.469 0.413
Pd 0.610 0.531 0.587
Pd 0.610 0.531 0.913
Pd 0.610 0.969 0.087
Pd 0.610 0.969 0.413

Largest 10 diffraction maxima, in order of falling intensity, 2θ = 10–90°:
two_theta  I_rel
34.46  100
32.11  84
29.09  55
29.88  41
29.50  40
31.05  39
26.48  38
36.62  30
41.42  26
49.49  25

---

Repeat the first record exactly.
This entry pairs a crystal structure of Ba2Sn3Pd2 with its simulated X-ray powder pattern. Radiation: Cu Kα X-rays. Structure: a crystal structure in Alexandria, relaxed with PBE.
Kinematic intensities with the Lorentz-polarization factor, no thermal factor.

Atomic structure:
a b c (Å): 10.699 10.699 7.812
angles (deg): 90.00 90.00 153.55
Sites, in units of the cell vectors:
Ba 0.060 0.940 0.750
Ba 0.162 0.838 0.250
Ba 0.838 0.162 0.750
Ba 0.940 0.060 0.250
Sn 0.226 0.774 0.750
Sn 0.435 0.565 0.566
Sn 0.435 0.565 0.934
Sn 0.565 0.435 0.066
Sn 0.565 0.435 0.434
Sn 0.774 0.226 0.250
Pd 0.303 0.697 0.056
Pd 0.303 0.697 0.444
Pd 0.697 0.303 0.556
Pd 0.697 0.303 0.944

Largest 10 diffraction maxima, in order of falling intensity, 2θ = 10–90°:
two_theta  I_rel
29.57  100
30.41  100
36.71  59
38.66  48
42.42  38
54.37  36
34.45  31
41.37  25
32.02  21
51.22  20

---

Please write out number 2 again, unchanged.
This entry pairs a crystal structure of Ba3Sn2Pd2 with its simulated X-ray powder pattern. Radiation: Cu Kα X-rays. Structure: a crystal structure in Alexandria, relaxed with PBE.
Kinematic intensities with the Lorentz-polarization factor, no thermal factor.

Atomic structure:
a b c (Å): 6.509 9.254 14.724
angles (deg): 90.00 90.00 90.00
Sites, in units of the cell vectors:
Ba 0.145 0.106 0.097
Ba 0.145 0.106 0.403
Ba 0.145 0.394 0.597
Ba 0.145 0.394 0.903
Ba 0.335 0.742 0.750
Ba 0.335 0.758 0.250
Ba 0.665 0.242 0.750
Ba 0.665 0.258 0.250
Ba 0.855 0.606 0.097
Ba 0.855 0.606 0.403
Ba 0.855 0.894 0.597
Ba 0.855 0.894 0.903
Sn 0.181 0.096 0.750
Sn 0.181 0.404 0.250
Sn 0.375 0.750 0.000
Sn 0.375 0.750 0.500
Sn 0.625 0.250 0.000
Sn 0.625 0.250 0.500
Sn 0.819 0.596 0.750
Sn 0.819 0.904 0.250
Pd 0.390 0.031 0.587
Pd 0.390 0.031 0.913
Pd 0.390 0.469 0.087
Pd 0.390 0.469 0.413
Pd 0.610 0.531 0.587
Pd 0.610 0.531 0.913
Pd 0.610 0.969 0.087
Pd 0.610 0.969 0.413

Largest 10 diffraction maxima, in order of falling intensity, 2θ = 10–90°:
two_theta  I_rel
34.46  100
32.11  84
29.09  55
29.88  41
29.50  40
31.05  39
26.48  38
36.62  30
41.42  26
49.49  25

---

Question: Number 1 is which compound?
Answer: Ba2Sn3Pd2